Structure and theoretical powder X-ray diffraction pattern of Ac3La2Er (a PBE-relaxed structure; Cu Kα).

Cell and atoms:
```
data_Ac3La2Er
_cell_length_a 9.600
_cell_length_b 10.731
_cell_length_c 9.570
_cell_angle_alpha 90.00
_cell_angle_beta 101.73
_cell_angle_gamma 90.00
_space_group_name_H-M_alt 'C 1 2/c 1'
_space_group_IT_number 15
_space_group_name_Hall '-C 2yc'
loop_
_atom_site_label
_atom_site_fract_x
_atom_site_fract_y
_atom_site_fract_z
_atom_site_occupancy
Ac1 0.000 0.069 0.250 1
Ac2 0.221 0.417 0.984 1
La1 0.134 0.249 0.618 1
Er1 0.000 0.391 0.250 1
```

The 12 most intense peaks (10 to 90 degrees two-theta), low angle first:
2θ/deg, I (rel.), h k l
23.94, 22, 2 0 -2
29.00, 100, 1 3 1
29.23, 39, 2 2 -2
29.40, 79, 1 1 -3
29.53, 46, 2 0 2
37.95, 23, 1 3 -3
41.51, 16, 2 4 -2
42.09, 14, 0 2 4
51.43, 14, 1 5 -3
51.76, 15, 0 4 4
52.06, 17, 3 3 3
57.96, 29, 3 3 -5

Structure and theoretical powder X-ray diffraction pattern of Ac7LaEr2 (a PBE-relaxed structure; Cu Kα).

Cell and atoms:
```
data_Ac7LaEr2
_cell_length_a 10.170
_cell_length_b 16.436
_cell_length_c 6.169
_cell_angle_alpha 90.00
_cell_angle_beta 90.00
_cell_angle_gamma 90.00
_space_group_name_H-M_alt 'C m m m'
_space_group_IT_number 65
_space_group_name_Hall '-C 2 2'
loop_
_atom_site_label
_atom_site_fract_x
_atom_site_fract_y
_atom_site_fract_z
_atom_site_occupancy
Ac1 0.000 0.000 0.000 1
Ac2 0.000 0.255 0.500 1
Ac3 0.186 0.373 0.000 1
La1 0.000 0.500 0.500 1
Er1 0.000 0.201 0.000 1
```

The 12 most intense peaks (10 to 90 degrees two-theta), low angle first:
2θ/deg, I (rel.), h k l
10.77, 26, 0 2 0
14.36, 75, 0 0 1
22.66, 29, 2 0 1
26.06, 66, 0 4 1
26.85, 27, 3 1 0
27.92, 100, 2 4 0
28.95, 81, 0 0 2
30.58, 77, 3 1 1
31.01, 23, 3 3 0
32.08, 60, 1 5 1
40.65, 75, 2 4 2
50.11, 34, 2 8 1

Q: What is the formula in the second record?
A: Ac7LaEr2

What did the first record say?
Structure and theoretical powder X-ray diffraction pattern of Ac3La2Er (a PBE-relaxed structure; Cu Kα).

Cell and atoms:
```
data_Ac3La2Er
_cell_length_a 9.600
_cell_length_b 10.731
_cell_length_c 9.570
_cell_angle_alpha 90.00
_cell_angle_beta 101.73
_cell_angle_gamma 90.00
_space_group_name_H-M_alt 'C 1 2/c 1'
_space_group_IT_number 15
_space_group_name_Hall '-C 2yc'
loop_
_atom_site_label
_atom_site_fract_x
_atom_site_fract_y
_atom_site_fract_z
_atom_site_occupancy
Ac1 0.000 0.069 0.250 1
Ac2 0.221 0.417 0.984 1
La1 0.134 0.249 0.618 1
Er1 0.000 0.391 0.250 1
```

The 12 most intense peaks (10 to 90 degrees two-theta), low angle first:
2θ/deg, I (rel.), h k l
23.94, 22, 2 0 -2
29.00, 100, 1 3 1
29.23, 39, 2 2 -2
29.40, 79, 1 1 -3
29.53, 46, 2 0 2
37.95, 23, 1 3 -3
41.51, 16, 2 4 -2
42.09, 14, 0 2 4
51.43, 14, 1 5 -3
51.76, 15, 0 4 4
52.06, 17, 3 3 3
57.96, 29, 3 3 -5